Simulated XRD peak list of MoO3 for Cu Kα (weighted mean of Kα1 and Kα2), from a structure optimized by DFT (PBE+U).
Neutral-atom scattering factors, no anomalous dispersion.

Most intense lines, 5° ≤ 2θ ≤ 70°, by intensity:
- hkl 1 0 1, d 2.944, I 100
- hkl 0 0 2, d 5.394, I 73
- hkl 1 1 0, d 1.767, I 21
- hkl 1 0 5, d 1.763, I 20
- hkl 1 1 2, d 1.679, I 17
- hkl 1 0 3, d 2.330, I 16
- hkl 1 0 0, d 3.060, I 13
- hkl 0 0 4, d 2.697, I 12
- hkl 2 0 1, d 1.515, I 12
- hkl 1 1 4, d 1.478, I 11

Cell and atoms:
Cell lengths 3.5333, 3.5333, 10.7890 Å; angles 90.00, 90.00, 120.00 degrees
Space group P6_3/mmc (No. 194)
One atom of each set of equivalent atoms:
Mo  0.3333  0.6667  0.2500 x2
O  0.0000  0.0000  0.2500 x2
O  0.3333  0.6667  0.0848 x4